Structure and calculated powder XRD pattern of K3LiMg2Cl8 (DFT lattice parameters and positions (GGA-PBE); CuKα).
Intensities are scaled so that the largest is 100.

Lattice parameters (Å, degrees): 7.1971 7.1971 8.9812 90.00 90.00 120.00
Element x y z (fractional)
K: 0.0000 0.0000 0.0000
K: 0.3333 0.6667 0.6185
K: 0.6667 0.3333 0.3815
Li: 0.0000 0.0000 0.5000
Mg: 0.3333 0.6667 0.2080
Mg: 0.6667 0.3333 0.7920
Cl: 0.1633 0.3266 0.3217
Cl: 0.1633 0.8367 0.3217
Cl: 0.3266 0.1633 0.6783
Cl: 0.3333 0.6667 0.9531
Cl: 0.6667 0.3333 0.0469
Cl: 0.6734 0.8367 0.3217
Cl: 0.8367 0.1633 0.6783
Cl: 0.8367 0.6734 0.6783

Main lines, in order of rising 2θ (2θ = 15–90°):
24.74 deg, intensity 67, (1 1 0); 28.64 deg, intensity 38, (2 0 0); 29.84 deg, intensity 39, (0 0 3); 30.36 deg, intensity 100, (0 2 1); 33.20 deg, intensity 44, (1 0 3); 35.05 deg, intensity 81, (2 0 2); 50.07 deg, intensity 38, (0 2 4); 50.74 deg, intensity 51, (2 2 0)

Structure and calculated powder XRD pattern of KLiMnCl4 (DFT lattice parameters and positions (GGA-PBE); CuKα).
Intensities are scaled so that the largest is 100.

Lattice parameters (Å, degrees): 6.2860 8.1294 8.3080 90.00 101.62 90.00
Element x y z (fractional)
K: 0.1959 0.2500 0.1014
K: 0.8041 0.7500 0.8986
Li: 0.2849 0.2500 0.6806
Li: 0.7151 0.7500 0.3194
Mn: 0.2207 0.7500 0.3162
Mn: 0.7793 0.2500 0.6838
Cl: 0.0398 0.0365 0.7366
Cl: 0.0398 0.4635 0.7366
Cl: 0.4066 0.7500 0.0931
Cl: 0.4813 0.2500 0.4645
Cl: 0.5187 0.7500 0.5355
Cl: 0.5934 0.2500 0.9069
Cl: 0.9602 0.5365 0.2634
Cl: 0.9602 0.9635 0.2634

Main lines, in order of rising 2θ (2θ = 15–90°):
15.41 deg, intensity 100, (0 1 1); 16.21 deg, intensity 65, (1 0 -1); 21.86 deg, intensity 87, (0 2 0); 26.27 deg, intensity 84, (1 2 0); 27.34 deg, intensity 93, (1 2 -1); 28.63 deg, intensity 53, (1 0 2); 30.71 deg, intensity 50, (1 1 2); 34.61 deg, intensity 47, (2 1 -2)

Structure and calculated powder XRD pattern of KLiMn2Cl8 (DFT lattice parameters and positions (GGA-PBE); CuKα).
Intensities are scaled so that the largest is 100.

Lattice parameters (Å, degrees): 6.6441 6.6441 8.8014 90.00 90.00 120.00
Element x y z (fractional)
K: 0.0000 0.0000 0.0000
Li: 0.0000 0.0000 0.5000
Mn: 0.3333 0.6667 0.7415
Mn: 0.6667 0.3333 0.2585
Cl: 0.0270 0.3229 0.6790
Cl: 0.2959 0.9730 0.6790
Cl: 0.3229 0.2959 0.3210
Cl: 0.3333 0.6667 0.9903
Cl: 0.6667 0.3333 0.0097
Cl: 0.6771 0.7041 0.6790
Cl: 0.7041 0.0270 0.3210
Cl: 0.9730 0.6771 0.3210

Main lines, in order of rising 2θ (2θ = 15–90°):
18.42 deg, intensity 87, (0 1 1); 26.84 deg, intensity 20, (1 1 0); 28.72 deg, intensity 100, (1 1 1); 30.47 deg, intensity 33, (0 0 3); 33.81 deg, intensity 31, (2 -1 2); 47.40 deg, intensity 39, (3 0 0); 49.70 deg, intensity 35, (1 1 4); 57.40 deg, intensity 22, (0 3 3)